Starting from DFT lattice parameters and positions (GGA-PBE), the XRD peak list of Na2CdH4 was computed for Cu Kα.
No peak broadening, texture or thermal motion is included.

Structure:
Unit cell a=5.6361 b=5.8256 c=6.6203 alpha=90.00 beta=107.86 gamma=90.00
Space group P2_1/m (No. 11)
One atom of each set of equivalent atoms:
Na 0.1835 0.2500 0.0269 [2 per cell]
Na 0.2808 0.2500 0.5674 [2 per cell]
Cd 0.2571 0.7500 0.8031 [2 per cell]
H 0.0383 0.5050 0.7443 [4 per cell]
H 0.4319 0.7500 0.0862 [2 per cell]
H 0.4754 0.7500 0.6495 [2 per cell]

Most intense lines, 2θ from 10° to 90°, by intensity:
h k l, 2θ/deg, I/Imax
0 1 1, 20.77, 100.0
1 0 -1, 18.13, 68.8
1 1 -2, 32.11, 51.9
1 0 1, 24.88, 49.2
0 2 0, 30.69, 47.7
1 2 1, 39.93, 43.7
2 1 -1, 35.61, 40.8
2 2 0, 45.99, 38.5
1 1 0, 22.53, 36.5
2 0 0, 33.41, 31.2